Starting from a DFT-relaxed cell (GGA+U, Alexandria), the powder XRD pattern of Ba3Mo2N2O6 was computed for Cu Kα, 1.54184 Å.

Principal peaks in the range 2θ = 5–70°, by intensity:
- 26.65°, I = 1000
- 29.26°, I = 901
- 39.99°, I = 431
- 50.32°, I = 348
- 45.37°, I = 262
- 63.43°, I = 191
- 51.89°, I = 177
- 60.68°, I = 154

Cell and atoms:
```
Ba3Mo2N2O6
1.0
3.052 1.762 7.197
-3.052 1.762 7.197
0.000 -3.524 7.197
Ba Mo N O
3 2 2 6
direct
0.000 0.000 0.000 Ba
0.202 0.202 0.202 Ba
0.798 0.798 0.798 Ba
0.407 0.407 0.407 Mo
0.593 0.593 0.593 Mo
0.326 0.326 0.326 N
0.674 0.674 0.674 N
0.232 0.732 0.732 O
0.268 0.268 0.768 O
0.268 0.768 0.268 O
0.732 0.232 0.732 O
0.732 0.732 0.232 O
0.768 0.268 0.268 O
```